Calculated XRD peak list of ZnGeI for a wavelength of 1.5418 Å, from a DFT-relaxed cell (PBE, Alexandria).
Lines closer than 0.1° are merged.

Largest 12 diffraction maxima, sorted by position, 2θ from 5° to 70°:
2θ = 22.04°, I 35, hkl 3 0 0; 2θ = 25.40°, I 89, hkl 0 1 1; 2θ = 26.10°, I 92, hkl 0 0 2; 2θ = 26.47°, I 54, hkl 1 1 1; 2θ = 29.45°, I 100, hkl 2 1 1; 2θ = 33.88°, I 48, hkl 3 1 1; 2θ = 34.42°, I 61, hkl 3 0 2; 2θ = 39.34°, I 86, hkl 4 1 1; 2θ = 44.34°, I 43, hkl 0 2 0; 2θ = 45.57°, I 79, hkl 0 1 3; 2θ = 45.96°, I 28, hkl 5 0 2; 2θ = 46.27°, I 47, hkl 1 1 3

Structure:
Cell lengths 12.1014, 4.0859, 6.8278 Å; angles 90.00, 90.00, 90.00 degrees
Space group Amm2 (No. 38)
Asymmetric unit:
Zn 0.1046 0.0000 0.0000 (multiplicity 4)
Ge 0.0000 0.0000 0.6657 (multiplicity 2)
Ge 0.5000 0.0000 0.4634 (multiplicity 2)
I 0.3262 0.0000 0.0859 (multiplicity 4)


Calculated XRD peak list of Rb2Ge2Se5 for a wavelength of 1.5418 Å, from a DFT-relaxed cell (PBE, Alexandria).
Lines closer than 0.1° are merged.

Largest 12 diffraction maxima, sorted by position, 2θ from 5° to 70°:
2θ = 10.24°, I 36, hkl 2 0 0; 2θ = 12.10°, I 42, hkl 1 1 1; 2θ = 20.56°, I 38, hkl 4 0 0; 2θ = 23.92°, I 100, hkl 3 3 -1; 2θ = 24.34°, I 37, hkl 2 2 2; 2θ = 28.45°, I 26, hkl 4 0 2; 2θ = 30.30°, I 63, hkl 4 2 -2; 2θ = 31.05°, I 40, hkl 0 6 0; 2θ = 35.36°, I 40, hkl 4 4 -2; 2θ = 39.79°, I 28, hkl 1 5 3; 2θ = 44.49°, I 43, hkl 6 6 0; 2θ = 47.71°, I 50, hkl 1 7 -3

Structure:
Cell lengths 17.2811, 17.2803, 9.1284 Å; angles 90.00, 90.17, 90.00 degrees
Space group C2/c (No. 15)
Asymmetric unit:
Rb 0.1461 0.1034 0.0686 (multiplicity 8)
Rb 0.1466 0.3964 0.4317 (multiplicity 8)
Ge 0.0804 0.1702 0.6021 (multiplicity 8)
Ge 0.0806 0.3312 0.8983 (multiplicity 8)
Se 0.0000 0.0866 0.7500 (multiplicity 4)
Se 0.0004 0.2505 0.0549 (multiplicity 8)
Se 0.0000 0.4148 0.7500 (multiplicity 4)
Se 0.1570 0.0931 0.4581 (multiplicity 8)
Se 0.1578 0.4078 0.0426 (multiplicity 8)
Se 0.1641 0.2507 0.7503 (multiplicity 8)


Calculated XRD peak list of AcPm2Y6Ho for a wavelength of 1.5418 Å, from a DFT-relaxed cell (PBE, Alexandria).
Lines closer than 0.1° are merged.

Largest 12 diffraction maxima, sorted by position, 2θ from 5° to 70°:
2θ = 11.52°, I 23, hkl 0 2 0; 2θ = 25.29°, I 12, hkl 2 0 -2; 2θ = 27.90°, I 65, hkl 1 3 2; 2θ = 30.17°, I 78, hkl 0 2 3; 2θ = 30.62°, I 100, hkl 2 2 2; 2θ = 31.10°, I 34, hkl 2 4 -1; 2θ = 31.78°, I 22, hkl 1 5 -1; 2θ = 32.37°, I 14, hkl 2 4 1; 2θ = 33.47°, I 39, hkl 1 3 -3; 2θ = 39.17°, I 15, hkl 4 0 0; 2θ = 52.06°, I 14, hkl 1 7 3; 2θ = 58.36°, I 12, hkl 4 0 4

Structure:
Cell lengths 9.2576, 15.3614, 9.6885 Å; angles 90.00, 96.19, 90.00 degrees
Space group C2/c (No. 15)
Asymmetric unit:
Ac 0.0000 0.0265 0.2500 (multiplicity 4)
Pm 0.2452 0.4441 0.4506 (multiplicity 8)
Y 0.0612 0.1911 0.9417 (multiplicity 8)
Y 0.1014 0.3919 0.1146 (multiplicity 8)
Y 0.2117 0.2274 0.3164 (multiplicity 8)
Ho 0.0000 0.4107 0.7500 (multiplicity 4)